This entry pairs a crystal structure of Nb3Au2 with its theoretical powder diffractogram. Radiation: Cu Kα. Structure: a structure optimized by DFT (GGA-PBE).
Peak positions follow from Bragg's law for the DFT cell and can differ from measured ones.

```
data_Nb3Au2
_space_group_name_H-M_alt 'P 1'
_space_group_IT_number 1
_cell_length_a 7.110
_cell_length_b 7.110
_cell_length_c 7.110
_cell_angle_alpha 90.00
_cell_angle_beta 90.00
_cell_angle_gamma 90.00
loop_
_space_group_symop_operation_xyz
'x,y,z'
loop_
_atom_site_label
_atom_site_type_symbol
_atom_site_fract_x
_atom_site_fract_y
_atom_site_fract_z
Nb1 Nb 0.059 0.125 0.809
Nb2 Nb 0.125 0.809 0.059
Nb3 Nb 0.191 0.559 0.375
Nb4 Nb 0.309 0.441 0.875
Nb5 Nb 0.375 0.191 0.559
Nb6 Nb 0.441 0.875 0.309
Nb7 Nb 0.559 0.375 0.191
Nb8 Nb 0.625 0.691 0.941
Nb9 Nb 0.691 0.941 0.625
Nb10 Nb 0.809 0.059 0.125
Nb11 Nb 0.875 0.309 0.441
Nb12 Nb 0.941 0.625 0.691
Au1 Au 0.051 0.949 0.449
Au2 Au 0.199 0.199 0.199
Au3 Au 0.301 0.801 0.699
Au4 Au 0.449 0.051 0.949
Au5 Au 0.551 0.551 0.551
Au6 Au 0.699 0.301 0.801
Au7 Au 0.801 0.699 0.301
Au8 Au 0.949 0.449 0.051
```

Top 10 peaks for 2θ = 10–90°, sorted by position:
hkl  2θ (°)  I_rel
1 1 0  17.64  23
1 1 1  21.65  25
2 2 0  35.72  26
2 2 1  37.97  100
3 1 0  40.11  52
3 1 1  42.15  55
3 2 1  47.87  24
4 3 1  67.13  42
4 3 2  71.45  29
5 2 1  72.87  15